Theoretical X-ray diffraction stick pattern of LaBiO3 for Cu Kα (λ = 1.5418 Å), from a cell relaxed with PBE.

Crystal structure
```
LaBiO3
1.0
3.1503 1.8188 5.1413
-3.1503 1.8188 5.1413
0.0000 -3.6376 5.1413
La Bi O
2 2 6
Direct
0.1334 0.1334 0.1334
0.8666 0.8666 0.8666
0.3514 0.3514 0.3514
0.6486 0.6486 0.6486
0.0051 0.7677 0.4650
0.2323 0.5350 0.9949
0.4650 0.0051 0.7677
0.5350 0.9949 0.2323
0.7677 0.4650 0.0051
0.9949 0.2323 0.5350
```

Principal peaks in the range 10° ≤ 2θ ≤ 80°, low angle first:
5.142 Å, I = 5; 4.454 Å, I = 10; 3.150 Å, I = 100; 2.686 Å, I = 8; 2.227 Å, I = 21; 1.992 Å, I = 16; 1.819 Å, I = 42; 1.575 Å, I = 10; 1.485 Å, I = 10; 1.409 Å, I = 12; 1.343 Å, I = 7; 1.235 Å, I = 5